Al4SiC4: computed X-ray powder pattern (Cu Kα), based on a cell relaxed with GGA-PBE.
Neutral-atom scattering factors, no anomalous dispersion.

Crystal structure
```
Al4SiC4
1.0
3.327 0.000 0.000
-1.664 2.882 0.000
0.000 0.000 21.905
Al Si C
8 2 8
Cartesian
0.000 0.000 0.000
0.000 0.000 4.127
0.000 0.000 10.952
0.000 0.000 15.079
0.000 1.921 2.193
0.000 1.921 6.462
1.664 0.961 13.145
1.664 0.961 17.414
0.000 1.921 19.542
1.664 0.961 8.590
0.000 0.000 2.031
0.000 0.000 7.643
0.000 0.000 12.983
0.000 0.000 18.595
0.000 1.921 4.585
0.000 1.921 21.295
1.664 0.961 10.342
1.664 0.961 15.537
```

The 6 most intense peaks (2θ from 15° to 90°), low angle first:
| two_theta | d/Å | I_rel | hkl |
| --- | --- | --- | --- |
| 31.31 | 2.857 | 98 | 1 0 1 |
| 37.35 | 2.408 | 70 | 1 0 5 |
| 39.85 | 2.262 | 83 | 1 0 6 |
| 41.21 | 2.190 | 53 | 0 0 10 |
| 55.21 | 1.664 | 100 | 1 1 0 |
| 71.16 | 1.325 | 60 | 1 1 10 |